Calculated powder diffraction line list of La5Tl6Zn for Cu Kα, from a PBE-relaxed structure.
No peak broadening, texture or thermal motion is included.

Peak list (12 most intense, 2θ = 10–90°, most intense first)
2theta, I_rel
31.37, 100.0
35.82, 19.4
34.80, 17.2
38.46, 14.9
61.60, 14.8
65.17, 12.2
60.25, 12.2
50.80, 11.9
53.56, 11.6
65.47, 11.0
52.83, 10.5
87.62, 7.1

Structure:
abc: 9.3823 9.3823 9.3823
angles: 149.00 120.14 68.95
Atoms (fractional coordinates):
La: 0.0000 0.0000 0.0000
La: 0.1737 0.6737 0.5000
La: 0.3586 0.3586 0.0000
La: 0.6414 0.6414 0.0000
La: 0.8263 0.3263 0.5000
Tl: 0.0782 0.8305 0.2477
Tl: 0.2422 0.5000 0.7422
Tl: 0.4172 0.1695 0.2477
Tl: 0.5828 0.8305 0.7523
Tl: 0.7578 0.5000 0.2578
Tl: 0.9218 0.1695 0.7523
Zn: 0.5000 0.0000 0.5000